Record 1
This entry pairs a crystal structure of UFeSi2 with its simulated powder diffraction line list. Radiation: λ = 1.5418 Å (Cu Kα). Structure: a DFT-relaxed cell (GGA-PBE, the Materials Project).

Structural model:
abc: 8.609 8.609 3.910
angles: 90.00 90.00 154.34
Fractional coordinates of all 8 atoms:
U 0.110 0.890 0.750
U 0.890 0.110 0.250
Fe 0.330 0.670 0.750
Fe 0.670 0.330 0.250
Si 0.250 0.750 0.250
Si 0.463 0.537 0.750
Si 0.537 0.463 0.250
Si 0.750 0.250 0.750

The 12 most intense peaks (15° ≤ 2θ ≤ 90°), by angle:
d (Å), 2θ (°), I (rel.)
4.197, 21.17, 59
3.728, 23.87, 34
3.544, 25.13, 56
2.698, 33.21, 68
2.523, 35.58, 63
2.456, 36.59, 100
2.275, 39.61, 36
1.955, 46.45, 26
1.912, 47.56, 24
1.677, 54.75, 26
1.545, 59.85, 29
1.273, 74.57, 22

---

Record 2
This entry pairs a crystal structure of Si3O7 with its simulated powder diffraction line list. Radiation: λ = 1.5418 Å (Cu Kα). Structure: a DFT-relaxed cell (GGA-PBE, the Materials Project).

Structural model:
abc: 8.954 8.990 9.091
angles: 99.16 109.03 96.78
Fractional coordinates of all 20 atoms:
Si 0.000 0.000 0.000
Si 0.079 0.384 0.359
Si 0.192 0.631 0.196
Si 0.288 0.983 0.293
Si 0.772 0.224 0.085
Si 0.896 0.651 0.907
O 0.007 0.626 0.082
O 0.101 0.054 0.896
O 0.108 0.002 0.185
O 0.138 0.278 0.474
O 0.183 0.523 0.325
O 0.283 0.801 0.300
O 0.289 0.564 0.083
O 0.358 0.093 0.473
O 0.432 0.055 0.240
O 0.725 0.532 0.835
O 0.881 0.129 0.009
O 0.882 0.832 0.921
O 0.889 0.356 0.241
O 0.966 0.591 0.767

The 12 most intense peaks (15° ≤ 2θ ≤ 90°), by angle:
d (Å), 2θ (°), I (rel.)
5.685, 15.59, 100
5.555, 15.95, 98
5.086, 17.44, 32
4.937, 17.97, 49
4.364, 20.35, 39
4.165, 21.33, 50
4.060, 21.89, 50
3.791, 23.47, 62
3.714, 23.96, 41
3.412, 26.12, 33
3.374, 26.42, 40
3.351, 26.60, 60

---

Record 3
This entry pairs a crystal structure of ZnGa2S4 with its simulated powder diffraction line list. Radiation: λ = 1.5418 Å (Cu Kα). Structure: a DFT-relaxed cell (GGA-PBE, the Materials Project).

Structural model:
abc: 13.040 13.040 6.395
angles: 98.48 98.48 121.19
Fractional coordinates of all 42 atoms:
Zn 0.044 0.956 0.750
Zn 0.126 0.874 0.250
Zn 0.215 0.785 0.750
Zn 0.785 0.215 0.250
Zn 0.874 0.126 0.750
Zn 0.956 0.044 0.250
Ga 0.110 0.515 0.154
Ga 0.160 0.414 0.626
Ga 0.243 0.324 0.123
Ga 0.324 0.243 0.623
Ga 0.414 0.160 0.126
Ga 0.485 0.890 0.346
Ga 0.515 0.110 0.654
Ga 0.586 0.840 0.874
Ga 0.676 0.757 0.377
Ga 0.757 0.676 0.877
Ga 0.840 0.586 0.374
Ga 0.890 0.485 0.846
S 0.030 0.766 0.514
S 0.059 0.146 0.986
S 0.091 0.658 0.005
S 0.146 0.059 0.486
S 0.180 0.581 0.520
S 0.234 0.970 0.986
S 0.252 0.489 0.005
S 0.319 0.402 0.505
S 0.342 0.909 0.495
S 0.402 0.319 0.005
S 0.419 0.820 0.980
S 0.489 0.252 0.505
S 0.511 0.748 0.495
S 0.581 0.180 0.020
S 0.598 0.681 0.995
S 0.658 0.091 0.505
S 0.681 0.598 0.495
S 0.748 0.511 0.995
S 0.766 0.030 0.014
S 0.820 0.419 0.480
S 0.854 0.941 0.514
S 0.909 0.342 0.995
S 0.941 0.854 0.014
S 0.970 0.234 0.486

The 12 most intense peaks (15° ≤ 2θ ≤ 90°), by angle:
d (Å), 2θ (°), I (rel.)
4.007, 22.19, 78
3.332, 26.76, 30
3.217, 27.73, 79
3.130, 28.52, 26
3.052, 29.26, 27
2.995, 29.83, 28
2.749, 32.57, 31
2.516, 35.68, 29
2.058, 44.01, 37
1.894, 48.05, 34
1.892, 48.09, 27
1.857, 49.05, 100

---

Record 4
This entry pairs a crystal structure of Ca4Zn51 with its simulated powder diffraction line list. Radiation: λ = 1.5418 Å (Cu Kα). Structure: a DFT-relaxed cell (GGA-PBE, the Materials Project).

Structural model:
abc: 14.877 14.877 14.877
angles: 33.83 33.83 33.83
Fractional coordinates of all 55 atoms:
Ca 0.125 0.125 0.125
Ca 0.375 0.375 0.375
Ca 0.625 0.625 0.625
Ca 0.875 0.875 0.875
Zn 0.000 0.000 0.000
Zn 0.021 0.781 0.419
Zn 0.033 0.270 0.668
Zn 0.039 0.159 0.401
Zn 0.083 0.480 0.718
Zn 0.092 0.211 0.849
Zn 0.100 0.461 0.340
Zn 0.151 0.908 0.789
Zn 0.159 0.401 0.039
Zn 0.177 0.531 0.763
Zn 0.211 0.849 0.092
Zn 0.219 0.581 0.979
Zn 0.237 0.823 0.469
Zn 0.250 0.250 0.250
Zn 0.270 0.668 0.033
Zn 0.282 0.917 0.520
Zn 0.294 0.645 0.414
Zn 0.332 0.967 0.730
Zn 0.340 0.100 0.461
Zn 0.355 0.586 0.706
Zn 0.401 0.039 0.159
Zn 0.414 0.294 0.645
Zn 0.419 0.021 0.781
Zn 0.461 0.340 0.100
Zn 0.469 0.237 0.823
Zn 0.480 0.718 0.083
Zn 0.520 0.282 0.917
Zn 0.531 0.763 0.177
Zn 0.539 0.660 0.900
Zn 0.581 0.979 0.219
Zn 0.586 0.706 0.355
Zn 0.599 0.961 0.841
Zn 0.645 0.414 0.294
Zn 0.660 0.900 0.539
Zn 0.668 0.033 0.270
Zn 0.706 0.355 0.586
Zn 0.718 0.083 0.480
Zn 0.730 0.332 0.967
Zn 0.750 0.750 0.750
Zn 0.763 0.177 0.531
Zn 0.781 0.419 0.021
Zn 0.789 0.151 0.908
Zn 0.823 0.469 0.237
Zn 0.841 0.599 0.961
Zn 0.849 0.092 0.211
Zn 0.900 0.539 0.660
Zn 0.908 0.789 0.151
Zn 0.917 0.520 0.282
Zn 0.961 0.841 0.599
Zn 0.967 0.730 0.332
Zn 0.979 0.219 0.581

The 12 most intense peaks (15° ≤ 2θ ≤ 90°), by angle:
d (Å), 2θ (°), I (rel.)
2.736, 32.74, 17
2.723, 32.89, 18
2.495, 35.99, 60
2.479, 36.23, 20
2.068, 43.77, 100
2.061, 43.94, 50
2.055, 44.06, 47
2.040, 44.42, 19
2.034, 44.54, 49
2.024, 44.78, 9
1.526, 60.70, 9
1.343, 70.06, 16

---

Record 5
This entry pairs a crystal structure of Nd4MgCu2O8 with its simulated powder diffraction line list. Radiation: λ = 1.5418 Å (Cu Kα). Structure: a DFT-relaxed cell (GGA-PBE, the Materials Project).

Structural model:
abc: 7.042 7.042 6.402
angles: 103.26 103.26 121.72
Fractional coordinates of all 15 atoms:
Nd 0.050 0.577 0.183
Nd 0.167 0.167 0.299
Nd 0.423 0.950 0.817
Nd 0.833 0.833 0.701
Mg 0.480 0.520 0.000
Cu 0.600 0.009 0.402
Cu 0.991 0.400 0.598
O 0.312 0.183 0.984
O 0.322 0.678 0.000
O 0.348 0.007 0.451
O 0.407 0.593 0.500
O 0.817 0.688 0.016
O 0.854 0.146 0.000
O 0.917 0.083 0.500
O 0.993 0.652 0.549

The 12 most intense peaks (15° ≤ 2θ ≤ 90°), by angle:
d (Å), 2θ (°), I (rel.)
5.429, 16.33, 50
3.323, 26.83, 54
3.282, 27.17, 64
3.098, 28.82, 100
3.075, 29.04, 69
3.025, 29.53, 33
2.989, 29.89, 86
2.620, 34.23, 55
2.523, 35.58, 52
1.991, 45.56, 62
1.758, 52.01, 36
1.561, 59.21, 35